# ZnCuAs2
Calculated powder X-ray diffraction pattern, Cu Ka. Input: a crystal structure in Alexandria, relaxed with PBE.
Intensities are scaled so that the largest is 100.

Structural model:
Lattice parameters (Å, degrees): 2.768 4.020 6.697 90.00 101.48 90.00
Space group Pm (No. 6)
Asymmetric unit:
Zn: 0.000 0.000 0.000 [1 per cell]
Cu: 0.573 0.500 0.144 [1 per cell]
As: 0.680 0.000 0.369 [1 per cell]
As: 0.870 0.500 0.766 [1 per cell]

Main lines, in order of rising 2θ (2θ from 10° to 80°):
| 2θ (°) | d/Å | I/Imax | index |
| --- | --- | --- | --- |
| 13.49 | 6.563 | 73.9 | 0 0 1 |
| 25.99 | 3.428 | 39.7 | 0 1 1 |
| 33.03 | 2.712 | 36.9 | 1 0 0 |
| 33.13 | 2.704 | 34.1 | 1 0 -1 |
| 35.31 | 2.542 | 100.0 | 0 1 2 |
| 44.71 | 2.027 | 81.7 | 1 1 1 |
| 44.95 | 2.016 | 79.4 | 1 1 -2 |
| 45.11 | 2.010 | 52.1 | 0 2 0 |
| 47.30 | 1.922 | 58.2 | 0 1 3 |
| 57.06 | 1.614 | 28.8 | 1 2 0 |